K4Na4MoW7O24: simulated powder X-ray diffraction pattern (Cu Kα X-rays), based on DFT lattice parameters and positions (GGA+U).
Intensities are scaled so that the largest is 100.

Structural model:
```
K4Na4MoW7O24
1.0
8.0378 0.0000 0.0000
0.0000 8.0378 0.0000
0.0000 0.0000 7.9906
K Na Mo W O
4 4 1 7 24
direct
0.2488 0.2488 0.0000 K
0.2488 0.7512 0.0000 K
0.7512 0.2488 0.0000 K
0.7512 0.7512 0.0000 K
0.2460 0.2460 0.4980 Na
0.2460 0.7540 0.4980 Na
0.7540 0.2460 0.4980 Na
0.7540 0.7540 0.4980 Na
0.0000 0.0000 0.2492 Mo
0.0000 0.0000 0.7458 W
0.0000 0.5000 0.2531 W
0.0000 0.5000 0.7478 W
0.5000 0.0000 0.2531 W
0.5000 0.0000 0.7478 W
0.5000 0.5000 0.2517 W
0.5000 0.5000 0.7473 W
0.0000 0.0000 0.5088 O
0.0000 0.0000 0.9841 O
0.0000 0.2571 0.7432 O
0.0000 0.2628 0.2542 O
0.0000 0.5000 0.5003 O
0.0000 0.5000 0.9983 O
0.0000 0.7372 0.2542 O
0.0000 0.7429 0.7432 O
0.2429 0.5000 0.2542 O
0.2456 0.5000 0.7448 O
0.2571 0.0000 0.7432 O
0.2628 0.0000 0.2542 O
0.5000 0.0000 0.5003 O
0.5000 0.0000 0.9983 O
0.5000 0.2429 0.2542 O
0.5000 0.2456 0.7448 O
0.5000 0.5000 0.0120 O
0.5000 0.5000 0.4891 O
0.5000 0.7544 0.7448 O
0.5000 0.7571 0.2542 O
0.7372 0.0000 0.2542 O
0.7429 0.0000 0.7432 O
0.7544 0.5000 0.7448 O
0.7571 0.5000 0.2542 O
```

Top 10 peaks for 2θ from 10° to 80°, in order of rising 2θ:
| d_spacing | I/Imax | h k l |
| --- | --- | --- |
| 4.019 | 56 | 2 0 0 |
| 3.995 | 27 | 0 0 2 |
| 2.836 | 100 | 2 2 0 |
| 2.009 | 22 | 4 0 0 |
| 1.796 | 24 | 4 2 0 |
| 1.789 | 12 | 2 0 4 |
| 1.639 | 27 | 4 2 2 |
| 1.634 | 13 | 2 2 4 |
| 1.417 | 13 | 4 0 4 |
| 1.271 | 12 | 6 2 0 |